Starting from a structure optimized by DFT (GGA-PBE), the powder XRD pattern of NdTeAuO was simulated for a wavelength of 1.5418 Å.

Structure:
```
data_NdTeAuO
_cell_length_a 5.8793
_cell_length_b 10.2888
_cell_length_c 5.9011
_cell_angle_alpha 90.00
_cell_angle_beta 90.00
_cell_angle_gamma 90.00
_symmetry_space_group_name_H-M 'P c c a'
_symmetry_Int_Tables_number 54
loop_
_symmetry_equiv_pos_as_xyz
'x,y,z'
'-x,-y,-z'
'-x+1/2,-y,z'
'x+1/2,y,-z'
'x+1/2,-y,-z+1/2'
'-x+1/2,y,z+1/2'
'-x,y,-z+1/2'
'x,-y,z+1/2'
loop_
_atom_site_label
_atom_site_type_symbol
_atom_site_fract_x
_atom_site_fract_y
_atom_site_fract_z
Nd1 Nd 0.0000 0.1110 0.2500
Te1 Te 0.0000 0.2829 0.7500
Au1 Au 0.2500 0.5000 0.2442
O1 O 0.2500 0.0000 0.0003
```

Most intense lines, 10° ≤ 2θ ≤ 90°, sorted by position:
hkl	Position (°2θ)	d (Å)	Rel. int.
1 2 1	27.56	3.237	94
0 0 2	30.29	2.951	100
2 1 0	31.66	2.827	63
1 3 1	33.86	2.648	76
2 2 0	35.16	2.552	62
2 1 2	44.38	2.041	63